# 1
Ba6MgP6O21: computed powder diffractogram (Cu Kα X-rays), based on a cell relaxed with GGA-PBE.

The 12 most intense peaks (2θ from 10° to 90°), low angle first:
2theta, Rel. int.
21.69, 50
22.34, 100
25.10, 14
30.47, 26
30.95, 36
31.71, 35
33.06, 15
37.83, 16
39.88, 19
40.45, 21
41.81, 26
50.14, 13

Atomic structure:
```
Ba6MgP6O21
1.0
7.276 0.000 0.000
0.000 8.128 4.958
0.000 -8.128 4.958
Ba Mg P O
6 1 6 21
Cartesian
0.000 0.000 0.000
0.000 -2.425 4.130
0.000 2.425 4.130
3.638 -4.922 5.922
3.638 0.000 6.020
3.638 4.922 5.922
3.638 0.000 9.414
1.599 -2.714 7.701
1.599 2.714 7.701
2.041 0.000 2.804
5.236 0.000 2.804
5.677 -2.714 7.701
5.677 2.714 7.701
0.000 -2.991 7.961
0.000 2.991 7.961
1.508 0.000 4.261
1.638 -1.290 2.079
1.638 1.290 2.079
1.855 -2.679 6.185
1.855 2.679 6.185
1.938 -1.376 8.369
1.938 1.376 8.369
2.203 -4.189 3.428
2.203 4.189 3.428
3.638 0.000 3.146
5.074 -4.189 3.428
5.074 4.189 3.428
5.338 -1.376 8.369
5.338 1.376 8.369
5.421 -2.679 6.185
5.421 2.679 6.185
5.638 -1.290 2.079
5.638 1.290 2.079
5.768 0.000 4.261
```

=====

# 2
Ho3SOF5: computed powder diffractogram (Cu Kα X-rays), based on a cell relaxed with GGA-PBE.

The 12 most intense peaks (2θ from 10° to 90°), low angle first:
2theta, Rel. int.
18.81, 31
26.61, 49
28.88, 100
29.12, 45
30.84, 56
30.93, 30
32.77, 45
38.18, 35
47.28, 34
49.62, 26
51.46, 39
58.43, 29

Atomic structure:
```
Ho3SOF5
1.0
9.372 0.000 0.000
0.000 3.674 0.000
-4.650 0.000 8.197
Ho S O F
6 2 2 10
Cartesian
0.000 0.000 0.000
-2.218 1.837 5.652
0.801 1.837 3.059
1.122 0.000 6.719
4.211 0.000 4.137
6.585 1.837 1.940
-1.333 0.000 3.624
3.288 1.837 6.316
-0.532 1.837 1.267
5.592 1.837 4.016
-3.144 1.837 7.724
1.382 0.000 1.818
-1.154 0.000 6.762
0.219 1.837 5.506
1.711 0.000 4.398
3.078 1.837 3.067
0.677 1.837 8.077
5.146 0.000 2.061
7.062 0.000 0.451
5.750 0.000 5.970
```

=====

# 3
Al11AgO17: computed powder diffractogram (Cu Kα X-rays), based on a cell relaxed with GGA-PBE.

The 12 most intense peaks (2θ from 10° to 90°), low angle first:
2theta, Rel. int.
18.53, 40
19.73, 75
23.98, 27
31.64, 49
33.08, 100
35.45, 82
41.89, 48
44.02, 38
57.27, 36
58.40, 27
66.09, 30
69.40, 23

Atomic structure:
```
Al11AgO17
1.0
22.753 0.000 0.000
0.000 4.896 2.829
0.000 -4.896 2.829
Al Ag O
22 2 34
Cartesian
0.000 0.000 0.001
0.566 1.632 2.829
2.432 -0.818 4.239
2.447 -0.821 1.419
2.446 -3.257 2.826
4.000 1.636 2.835
7.376 1.636 2.835
8.930 -0.821 1.419
8.930 -3.257 2.826
8.945 -0.818 4.239
10.811 1.632 2.829
11.376 0.000 0.001
11.942 -1.632 2.829
13.808 0.818 4.239
13.823 0.821 1.419
13.823 3.257 2.826
15.377 -1.636 2.835
18.753 -1.636 2.835
20.306 0.821 1.419
20.307 3.257 2.826
20.321 0.818 4.239
22.187 -1.632 2.829
5.688 -1.445 3.152
17.065 1.445 3.152
1.140 0.770 1.335
1.135 3.357 2.827
1.136 0.768 4.322
1.263 -1.631 2.830
3.227 -0.001 5.655
3.315 -2.434 1.438
3.331 -0.034 2.832
3.331 -2.427 4.215
5.688 1.622 2.811
8.061 -2.434 1.438
8.046 -0.034 2.832
8.046 -2.427 4.215
8.149 -0.001 5.655
10.114 -1.631 2.830
10.237 0.770 1.335
10.242 3.357 2.827
10.241 0.768 4.322
12.516 -0.770 1.335
12.511 -3.357 2.827
12.512 -0.768 4.322
12.639 1.631 2.830
14.604 0.001 5.655
14.692 2.434 1.438
14.707 0.034 2.832
14.707 2.427 4.215
17.065 -1.622 2.811
19.438 2.434 1.438
19.422 0.034 2.832
19.422 2.427 4.215
19.526 0.001 5.655
21.490 1.631 2.830
21.613 -0.770 1.335
21.618 -3.357 2.827
21.617 -0.768 4.322
```

=====

# 4
TmCuSb2: computed powder diffractogram (Cu Kα X-rays), based on a cell relaxed with GGA-PBE.

The 12 most intense peaks (2θ from 10° to 90°), low angle first:
2theta, Rel. int.
27.59, 12
30.83, 10
34.43, 18
34.74, 100
36.55, 11
42.11, 39
51.08, 19
55.48, 9
56.96, 12
61.07, 13
68.28, 13
72.21, 23

Atomic structure:
```
TmCuSb2
1.0
4.292 0.000 0.000
0.000 4.292 0.000
0.000 0.000 9.834
Tm Cu Sb
2 2 4
Cartesian
1.073 1.073 2.449
3.219 3.219 7.385
1.073 3.219 4.917
3.219 1.073 4.917
1.073 1.073 6.537
1.073 3.219 0.000
3.219 1.073 0.000
3.219 3.219 3.297
```